Diffraction record for PH2IrO5. The X-ray diffraction stick pattern is calculated, not measured: it uses a DFT-relaxed cell (PBE, OQMD) and a wavelength of 1.5418 Å.
Lines closer than 0.1° are merged.

Structure:
```
PH2IrO5
1.0
5.1356 0.0000 0.0000
-1.5338 5.1576 0.0000
-0.3929 -1.0493 6.1922
P H Ir O
2 4 2 10
Cartesian
0.5687 1.6964 1.4731
2.6402 2.4119 4.7191
0.3589 3.5897 4.7433
0.6649 4.2062 1.7829
2.5440 -0.0979 4.4094
2.8500 0.5186 1.4489
0.0803 0.3852 4.3958
3.1286 3.7231 1.7965
-0.0673 1.3457 0.1472
0.4487 0.3515 2.3511
-0.1606 2.8461 2.2084
1.7921 -0.5750 4.8656
1.1104 2.1363 4.7431
2.0985 1.9720 1.4491
1.4168 4.6833 1.3266
3.3695 1.2623 3.9839
2.7602 3.7568 3.8411
3.2762 2.7626 6.0450
```

Largest 6 diffraction maxima, low angle first, 10° ≤ 2θ ≤ 90°:
| d/Å | I/Imax |
| --- | --- |
| 4.893 | 61 |
| 4.298 | 77 |
| 4.206 | 100 |
| 4.060 | 41 |
| 3.644 | 47 |
| 3.096 | 92 |